Li2MnVP3O12: simulated XRD peak list (copper Kα), based on a cell relaxed with GGA+U.
Intensities are scaled so that the largest is 100.

Most intense lines, 10° ≤ 2θ ≤ 90°, by angle:
h k l  Position (°2θ)  I/Imax
1 0 0  14.20  49
0 1 -1  14.59  100
1 1 -1  19.73  51
1 -1 0  23.70  48
2 1 0  24.09  68
0 2 -2  29.43  69

Cell and atoms:
```
data_Li2MnVP3O12
_chemical_formula_sum 'Li4 Mn2 V2 P6 O24'
_cell_length_a 8.328
_cell_length_b 8.393
_cell_length_c 8.847
_cell_angle_alpha 90.00
_cell_angle_beta 63.52
_cell_angle_gamma 60.66
_space_group_name_H-M_alt 'P 1'
_space_group_IT_number 1
loop_
_space_group_symop_operation_xyz
'x,y,z'
loop_
_atom_site_label
_atom_site_type_symbol
_atom_site_fract_x
_atom_site_fract_y
_atom_site_fract_z
_atom_site_occupancy
Li1 Li 0.000 0.000 0.000 1
Li2 Li 0.124 0.537 0.714 1
Li3 Li 0.250 0.335 0.003 1
Li4 Li 0.458 0.946 0.717 1
Mn1 Mn 0.352 0.116 0.423 1
Mn2 Mn 0.771 0.419 0.294 1
V1 V 0.377 0.613 0.906 1
V2 V 0.761 0.925 0.813 1
P1 P 0.270 0.811 0.610 1
P2 P 0.279 0.005 0.108 1
P3 P 0.562 0.232 0.609 1
P4 P 0.562 0.299 0.119 1
P5 P 0.843 0.529 0.607 1
P6 P 0.864 0.720 0.102 1
O1 O 0.046 0.407 0.613 1
O2 O 0.064 0.736 0.042 1
O3 O 0.065 0.132 0.114 1
O4 O 0.076 0.791 0.663 1
O5 O 0.213 0.012 0.592 1
O6 O 0.259 0.058 0.282 1
O7 O 0.302 0.810 0.775 1
O8 O 0.359 0.791 0.059 1
O9 O 0.371 0.423 0.760 1
O10 O 0.419 0.421 0.043 1
O11 O 0.422 0.280 0.293 1
O12 O 0.439 0.044 0.955 1
O13 O 0.450 0.137 0.588 1
O14 O 0.465 0.651 0.451 1
O15 O 0.662 0.501 0.745 1
O16 O 0.674 0.870 0.269 1
O17 O 0.680 0.385 0.136 1
O18 O 0.698 0.257 0.442 1
O19 O 0.704 0.098 0.683 1
O20 O 0.744 0.097 0.979 1
O21 O 0.752 0.746 0.665 1
O22 O 0.821 0.742 0.942 1
O23 O 0.878 0.476 0.424 1
O24 O 0.940 0.512 0.107 1
```